Record 1
Structure and computed powder diffractogram of Tl2Pt2O7 (a cell relaxed with GGA-PBE; copper Kα).

Main lines, by angle (10 to 90 degrees two-theta):
30.3 deg, I 100.0
35.1 deg, I 38.5
38.4 deg, I 0.5
50.5 deg, I 44.4
60.1 deg, I 44.4
63.0 deg, I 11.1
74.2 deg, I 6.8
82.2 deg, I 18.5
84.9 deg, I 15.8

Cell and atoms:
abc: 7.226 7.226 7.226
angles: 60.00 60.00 60.00
Element x y z (fractional)
Tl: 0.000 0.000 0.000
Tl: 0.000 0.000 0.500
Tl: 0.000 0.500 0.000
Tl: 0.500 0.000 0.000
Pt: 0.000 0.500 0.500
Pt: 0.500 0.000 0.500
Pt: 0.500 0.500 0.000
Pt: 0.500 0.500 0.500
O: 0.125 0.125 0.125
O: 0.164 0.164 0.586
O: 0.164 0.586 0.164
O: 0.164 0.586 0.586
O: 0.414 0.414 0.836
O: 0.414 0.836 0.414
O: 0.414 0.836 0.836
O: 0.586 0.164 0.164
O: 0.586 0.164 0.586
O: 0.586 0.586 0.164
O: 0.836 0.414 0.414
O: 0.836 0.414 0.836
O: 0.836 0.836 0.414
O: 0.875 0.875 0.875


Record 2
Structure and computed powder diffractogram of CdAg7 (a cell relaxed with GGA-PBE; copper Kα).

Main lines, by angle (10 to 90 degrees two-theta):
35.7 deg, I 58.4
38.0 deg, I 75.0
38.3 deg, I 100.0
41.8 deg, I 37.9
43.8 deg, I 49.1
45.2 deg, I 35.7
63.3 deg, I 23.2
64.8 deg, I 29.1
73.6 deg, I 24.7
77.0 deg, I 17.4

Cell and atoms:
abc: 2.903 4.011 32.303
angles: 90.00 90.00 90.00
Element x y z (fractional)
Cd: 0.250 0.250 0.145
Cd: 0.750 0.750 0.855
Ag: 0.250 0.250 0.242
Ag: 0.250 0.250 0.335
Ag: 0.250 0.250 0.429
Ag: 0.250 0.250 0.524
Ag: 0.250 0.250 0.618
Ag: 0.250 0.250 0.712
Ag: 0.250 0.250 0.806
Ag: 0.750 0.750 0.194
Ag: 0.750 0.750 0.288
Ag: 0.750 0.750 0.382
Ag: 0.750 0.750 0.476
Ag: 0.750 0.750 0.571
Ag: 0.750 0.750 0.665
Ag: 0.750 0.750 0.758


Record 3
Structure and computed powder diffractogram of NaZrNO (a cell relaxed with GGA-PBE; copper Kα).

Main lines, by angle (10 to 90 degrees two-theta):
13.0 deg, I 50.8
23.7 deg, I 100.0
27.2 deg, I 72.6
33.0 deg, I 47.6
33.8 deg, I 63.8
40.2 deg, I 41.3
46.7 deg, I 46.6
48.6 deg, I 30.2
49.2 deg, I 25.2
63.3 deg, I 34.4

Cell and atoms:
abc: 4.490 3.744 6.822
angles: 90.00 90.00 90.00
Element x y z (fractional)
Na: 0.250 0.000 0.146
Na: 0.750 0.000 0.854
Zr: 0.250 0.500 0.659
Zr: 0.750 0.500 0.341
N: 0.250 0.500 0.362
N: 0.750 0.500 0.638
O: 0.250 0.000 0.803
O: 0.750 0.000 0.197


Record 4
Structure and computed powder diffractogram of KHfTe2PdS (a cell relaxed with GGA-PBE; copper Kα).

Main lines, by angle (10 to 90 degrees two-theta):
11.3 deg, I 100.0
27.9 deg, I 8.6
28.6 deg, I 26.0
29.9 deg, I 39.2
31.0 deg, I 31.3
34.8 deg, I 20.1
36.4 deg, I 16.2
42.9 deg, I 19.2
45.2 deg, I 14.4
54.4 deg, I 9.0

Cell and atoms:
abc: 8.958 4.010 10.112
angles: 90.00 111.84 90.00
Element x y z (fractional)
K: 0.243 0.250 0.188
K: 0.757 0.750 0.812
Hf: 0.205 0.750 0.688
Hf: 0.795 0.250 0.312
Te: 0.051 0.750 0.362
Te: 0.411 0.250 0.642
Te: 0.589 0.750 0.358
Te: 0.949 0.250 0.638
Pd: 0.403 0.250 0.914
Pd: 0.597 0.750 0.086
S: 0.264 0.750 0.943
S: 0.736 0.250 0.057


Record 5
Structure and computed powder diffractogram of Hf4GaC2S (a cell relaxed with GGA-PBE; copper Kα).

Main lines, by angle (10 to 90 degrees two-theta):
13.6 deg, I 13.4
31.0 deg, I 27.9
31.8 deg, I 21.2
37.4 deg, I 100.0
41.6 deg, I 11.0
52.8 deg, I 10.3
55.1 deg, I 25.5
65.9 deg, I 10.0
68.5 deg, I 17.0
71.4 deg, I 13.5

Cell and atoms:
abc: 3.333 3.333 13.027
angles: 90.00 90.00 120.00
Element x y z (fractional)
Hf: 0.000 0.000 0.140
Hf: 0.000 0.000 0.860
Hf: 0.333 0.667 0.328
Hf: 0.333 0.667 0.672
Ga: 0.000 0.000 0.500
C: 0.667 0.333 0.235
C: 0.667 0.333 0.765
S: 0.333 0.667 0.000


Record 6
Structure and computed powder diffractogram of Ni2Ge2PdPt (a cell relaxed with GGA-PBE; copper Kα).

Main lines, by angle (10 to 90 degrees two-theta):
34.7 deg, I 61.3
37.7 deg, I 100.0
37.9 deg, I 84.2
43.4 deg, I 24.8
45.5 deg, I 69.9
49.9 deg, I 71.5
50.4 deg, I 35.9
64.3 deg, I 35.8
68.2 deg, I 25.0
73.6 deg, I 23.0

Cell and atoms:
abc: 3.654 3.654 6.258
angles: 90.00 90.00 90.00
Element x y z (fractional)
Ni: 0.000 0.500 0.000
Ni: 0.500 0.000 0.000
Ge: 0.000 0.000 0.248
Ge: 0.500 0.500 0.753
Pd: 0.000 0.000 0.642
Pt: 0.500 0.500 0.358


Record 7
Structure and computed powder diffractogram of Pr2GdZn2Cd4 (a cell relaxed with GGA-PBE; copper Kα).

Main lines, by angle (10 to 90 degrees two-theta):
27.9 deg, I 14.4
30.9 deg, I 69.9
34.1 deg, I 100.0
37.2 deg, I 24.7
37.3 deg, I 14.3
38.7 deg, I 31.2
54.8 deg, I 24.9
55.5 deg, I 11.8
66.9 deg, I 12.4
67.1 deg, I 14.9

Cell and atoms:
abc: 4.648 7.384 7.384
angles: 120.20 90.00 90.00
Element x y z (fractional)
Pr: 0.000 0.215 0.785
Pr: 0.000 0.785 0.215
Gd: 0.000 0.350 0.350
Zn: 0.500 0.121 0.449
Zn: 0.500 0.449 0.121
Cd: 0.000 0.777 0.777
Cd: 0.500 0.031 0.031
Cd: 0.500 0.534 0.781
Cd: 0.500 0.781 0.534


Record 8
Structure and computed powder diffractogram of PrHo3Pt4 (a cell relaxed with GGA-PBE; copper Kα).

Main lines, by angle (10 to 90 degrees two-theta):
32.0 deg, I 82.2
34.3 deg, I 25.4
34.6 deg, I 20.3
35.8 deg, I 47.7
36.1 deg, I 57.5
39.8 deg, I 100.0
40.1 deg, I 46.8
53.5 deg, I 14.5
54.5 deg, I 13.3
69.6 deg, I 19.3

Cell and atoms:
abc: 5.591 4.532 7.097
angles: 90.00 90.75 90.00
Element x y z (fractional)
Pr: 0.000 0.000 0.000
Ho: 0.218 0.000 0.498
Ho: 0.499 0.500 0.138
Ho: 0.717 0.500 0.633
Pt: 0.016 0.500 0.288
Pt: 0.209 0.500 0.760
Pt: 0.512 0.000 0.855
Pt: 0.697 0.000 0.368


Record 9
Structure and computed powder diffractogram of Sc2Cu2SnGe (a cell relaxed with GGA-PBE; copper Kα).

Main lines, by angle (10 to 90 degrees two-theta):
25.3 deg, I 43.6
29.3 deg, I 16.3
41.9 deg, I 100.0
49.6 deg, I 21.4
51.9 deg, I 4.4
60.7 deg, I 15.8
66.9 deg, I 8.6
68.8 deg, I 5.9
76.5 deg, I 31.3
82.1 deg, I 6.6

Cell and atoms:
abc: 10.565 4.312 10.566
angles: 90.00 109.48 90.00
Element x y z (fractional)
Sc: 0.000 0.000 0.000
Sc: 0.117 0.500 0.372
Sc: 0.240 0.000 0.745
Sc: 0.375 0.500 0.120
Sc: 0.506 0.000 0.494
Sc: 0.632 0.500 0.879
Sc: 0.754 0.000 0.251
Sc: 0.876 0.500 0.619
Cu: 0.119 0.500 0.621
Cu: 0.244 0.000 0.992
Cu: 0.380 0.500 0.372
Cu: 0.499 0.000 0.747
Cu: 0.632 0.500 0.131
Cu: 0.753 0.000 0.493
Cu: 0.883 0.500 0.877
Cu: 0.995 0.000 0.248
Sn: 0.249 0.000 0.248
Sn: 0.375 0.500 0.622
Sn: 0.500 0.000 0.998
Sn: 0.752 0.000 0.748
Ge: 0.123 0.500 0.872
Ge: 0.627 0.500 0.372
Ge: 0.875 0.500 0.124
Ge: 0.998 0.000 0.496


Record 10
Structure and computed powder diffractogram of Ta4Sn3W2N3 (a cell relaxed with GGA-PBE; copper Kα).

Main lines, by angle (10 to 90 degrees two-theta):
13.1 deg, I 25.7
31.5 deg, I 45.6
32.2 deg, I 25.9
37.4 deg, I 100.0
37.6 deg, I 98.0
38.1 deg, I 94.5
40.1 deg, I 52.6
55.6 deg, I 20.8
57.0 deg, I 40.0
71.0 deg, I 39.8

Cell and atoms:
abc: 5.683 5.683 13.861
angles: 101.69 101.69 58.56
Element x y z (fractional)
Ta: 0.010 0.210 0.080
Ta: 0.158 0.304 0.420
Ta: 0.210 0.010 0.580
Ta: 0.304 0.158 0.920
Ta: 0.696 0.842 0.080
Ta: 0.790 0.990 0.420
Ta: 0.842 0.696 0.580
Ta: 0.990 0.790 0.920
Sn: 0.087 0.913 0.250
Sn: 0.255 0.415 0.748
Sn: 0.415 0.255 0.248
Sn: 0.585 0.745 0.752
Sn: 0.745 0.585 0.252
Sn: 0.913 0.087 0.750
W: 0.382 0.534 0.082
W: 0.466 0.618 0.418
W: 0.534 0.382 0.582
W: 0.618 0.466 0.918
N: 0.000 0.500 0.000
N: 0.154 0.673 0.502
N: 0.327 0.846 0.998
N: 0.500 0.000 0.500
N: 0.673 0.154 0.002
N: 0.846 0.327 0.498


Record 11
Structure and computed powder diffractogram of Ni3H5 (a cell relaxed with GGA-PBE; copper Kα).

Main lines, by angle (10 to 90 degrees two-theta):
34.4 deg, I 16.5
37.2 deg, I 74.8
42.3 deg, I 34.4
44.8 deg, I 100.0
49.4 deg, I 53.5
67.0 deg, I 32.7
72.4 deg, I 15.8
84.1 deg, I 19.6
87.6 deg, I 14.7
89.3 deg, I 24.8

Cell and atoms:
abc: 2.610 2.610 6.410
angles: 90.00 90.00 90.00
Element x y z (fractional)
Ni: 0.000 0.000 0.000
Ni: 0.500 0.500 0.304
Ni: 0.500 0.500 0.696
H: 0.000 0.000 0.257
H: 0.000 0.000 0.743
H: 0.000 0.500 0.500
H: 0.500 0.000 0.500
H: 0.500 0.500 0.000


Record 12
Structure and computed powder diffractogram of Y4Er2LuNi2Te2 (a cell relaxed with GGA-PBE; copper Kα).

Main lines, by angle (10 to 90 degrees two-theta):
29.0 deg, I 27.6
30.3 deg, I 54.5
32.8 deg, I 66.0
34.2 deg, I 100.0
34.6 deg, I 42.9
36.5 deg, I 24.6
38.3 deg, I 20.7
47.4 deg, I 24.7
51.2 deg, I 30.1
58.9 deg, I 24.5

Cell and atoms:
abc: 9.340 9.340 9.340
angles: 156.32 67.45 117.88
Element x y z (fractional)
Y: 0.131 0.000 0.131
Y: 0.517 0.201 0.315
Y: 0.869 0.000 0.869
Y: 0.886 0.201 0.685
Er: 0.209 0.854 0.355
Er: 0.499 0.854 0.645
Lu: 0.580 0.580 0.000
Ni: 0.269 0.505 0.764
Ni: 0.741 0.505 0.236
Te: 0.246 0.246 0.000
Te: 0.843 0.343 0.500


Record 13
Structure and computed powder diffractogram of NdYBr2O2 (a cell relaxed with GGA-PBE; copper Kα).

Main lines, by angle (10 to 90 degrees two-theta):
10.6 deg, I 24.9
31.4 deg, I 100.0
32.4 deg, I 43.0
39.1 deg, I 10.2
46.5 deg, I 21.4
49.6 deg, I 10.2
55.2 deg, I 16.6
57.1 deg, I 35.4
65.5 deg, I 8.9
76.6 deg, I 7.4

Cell and atoms:
abc: 3.909 3.909 8.330
angles: 90.00 90.00 90.00
Element x y z (fractional)
Nd: 0.000 0.000 0.000
Y: 0.500 0.500 0.717
Br: 0.000 0.000 0.519
Br: 0.500 0.500 0.196
O: 0.000 0.500 0.850
O: 0.500 0.000 0.850